Diffraction record for MgFe2O4. The powder diffraction line list is computed, not measured: it uses a structure optimized by DFT (GGA+U) and Cu Kα.
Neutral-atom scattering factors, no anomalous dispersion.

Main lines, in order of falling intensity (2θ from 10° to 90°):
- 35.19°, I = 100, hkl 2 2 -1
- 34.95°, I = 90, hkl -1 1 3
- 35.09°, I = 87, hkl 1 -1 3
- 29.82°, I = 76, hkl 1 1 4
- 61.90°, I = 75, hkl 2 2 8
- 35.27°, I = 40, hkl 1 1 -5
- 56.58°, I = 37, hkl 3 3 -3
- 18.12°, I = 31, hkl 1 1 1
- 29.76°, I = 26, hkl 1 2 0
- 61.65°, I = 26, hkl 2 -2 0
- 61.99°, I = 25, hkl 4 2 0
- 62.20°, I = 25, hkl 0 2 -8

Structure:
a b c (Å): 5.9878 6.0007 14.6418
angles (deg): 89.61 89.93 60.26
Fractional coordinates of all 42 atoms:
Mg1 0.0000 0.0000 0.0000
Mg2 0.0022 0.0069 0.6260
Mg3 0.1711 0.1702 0.7930
Mg4 0.5030 0.5021 0.1249
Mg5 0.6735 0.6672 0.2915
Mg6 0.8377 0.8366 0.4592
Fe1 0.0078 0.5017 0.1248
Fe2 0.0100 0.0056 0.2481
Fe3 0.1701 0.6746 0.7940
Fe4 0.3355 0.3296 0.3379
Fe5 0.3368 0.8375 0.4586
Fe6 0.3384 0.3365 0.9618
Fe7 0.3402 0.3442 0.5822
Fe8 0.5023 0.0070 0.1252
Fe9 0.6656 0.6677 0.6689
Fe10 0.6735 0.1699 0.7932
Fe11 0.6753 0.6746 0.9187
Fe12 0.8382 0.3365 0.4590
O1 0.0008 0.9978 0.8643
O2 0.0162 0.9948 0.3796
O3 0.0317 0.4931 0.8772
O4 0.1582 0.1692 0.5374
O5 0.1646 0.6908 0.5403
O6 0.1822 0.6339 0.0420
O7 0.1851 0.1854 0.0436
O8 0.3198 0.8426 0.7136
O9 0.3358 0.3345 0.2057
O10 0.3425 0.3400 0.7157
O11 0.3551 0.8343 0.2035
O12 0.4973 0.4906 0.8766
O13 0.4984 0.0274 0.8776
O14 0.5120 0.9819 0.3783
O15 0.5180 0.5050 0.3812
O16 0.6350 0.1822 0.0428
O17 0.6613 0.6798 0.5375
O18 0.6719 0.6736 0.0489
O19 0.6879 0.1749 0.5372
O20 0.8348 0.8303 0.2028
O21 0.8366 0.3248 0.7135
O22 0.8381 0.3518 0.2039
O23 0.8389 0.8460 0.7143
O24 0.9870 0.4993 0.3814



Diffraction record for MgFeO3. The powder diffraction line list is computed, not measured: it uses a structure optimized by DFT (GGA+U) and Cu Kα.
Neutral-atom scattering factors, no anomalous dispersion.

Main lines, in order of falling intensity (2θ from 10° to 90°):
- 33.66°, I = 100, hkl 1 1 0
- 23.63°, I = 72, hkl 1 0 0
- 48.34°, I = 62, hkl 2 0 0
- 60.19°, I = 36, hkl 2 1 1
- 70.76°, I = 33, hkl 2 2 0
- 54.48°, I = 22, hkl 2 1 0
- 80.69°, I = 15, hkl 3 1 0
- 75.78°, I = 9, hkl 3 0 0
- 41.53°, I = 2, hkl 1 1 1

Structure:
a b c (Å): 3.7659 3.7659 3.7659
angles (deg): 90.00 90.00 90.00
Fractional coordinates of all 5 atoms:
Mg1 0.0000 0.0000 0.0000
Fe1 0.5000 0.5000 0.5000
O1 0.0000 0.5000 0.5000
O2 0.5000 0.0000 0.5000
O3 0.5000 0.5000 0.0000



Diffraction record for MgFe2O4. The powder diffraction line list is computed, not measured: it uses a structure optimized by DFT (GGA+U) and Cu Kα.
Neutral-atom scattering factors, no anomalous dispersion.

Main lines, in order of falling intensity (2θ from 10° to 90°):
- 35.61°, I = 100, hkl 1 0 3
- 62.86°, I = 47, hkl 2 2 4
- 30.23°, I = 41, hkl 1 1 2
- 57.24°, I = 35, hkl 3 2 1
- 43.28°, I = 16, hkl 0 0 4
- 53.69°, I = 14, hkl 2 0 4
- 74.38°, I = 10, hkl 4 1 3
- 23.79°, I = 9, hkl 1 1 1
- 14.98°, I = 9, hkl 1 0 0
- 87.24°, I = 7, hkl 5 1 2
- 71.33°, I = 5, hkl 4 2 0
- 26.09°, I = 4, hkl 1 0 2

Structure:
a b c (Å): 5.9122 5.9122 8.3662
angles (deg): 90.00 90.00 90.00
Fractional coordinates of all 28 atoms:
Mg1 0.0000 0.2524 0.0000
Mg2 0.0000 0.7476 0.5000
Mg3 0.2524 0.0000 0.7500
Mg4 0.7476 0.0000 0.2500
Fe1 0.2515 0.2515 0.3750
Fe2 0.2515 0.7485 0.1250
Fe3 0.2523 0.5000 0.7500
Fe4 0.5000 0.2523 0.0000
Fe5 0.5000 0.7477 0.5000
Fe6 0.7477 0.5000 0.2500
Fe7 0.7485 0.2515 0.6250
Fe8 0.7485 0.7485 0.8750
O1 0.0191 0.2616 0.7504
O2 0.0191 0.7384 0.7496
O3 0.2616 0.0191 0.9996
O4 0.2616 0.4864 0.9867
O5 0.2616 0.5136 0.5133
O6 0.2616 0.9809 0.5004
O7 0.4864 0.2616 0.7633
O8 0.4864 0.7384 0.7367
O9 0.5136 0.2616 0.2367
O10 0.5136 0.7384 0.2633
O11 0.7384 0.0191 0.0004
O12 0.7384 0.4864 0.0133
O13 0.7384 0.5136 0.4867
O14 0.7384 0.9809 0.4996
O15 0.9809 0.2616 0.2496
O16 0.9809 0.7384 0.2504



Diffraction record for MgFe3P3O12. The powder diffraction line list is computed, not measured: it uses a structure optimized by DFT (GGA+U) and Cu Kα.
Neutral-atom scattering factors, no anomalous dispersion.

Main lines, in order of falling intensity (2θ from 10° to 90°):
- 24.42°, I = 100, hkl 1 2 -1
- 23.67°, I = 82, hkl 0 2 1
- 24.25°, I = 69, hkl 1 2 0
- 45.18°, I = 19, hkl 1 4 -2
- 44.88°, I = 18, hkl 1 4 1
- 36.70°, I = 14, hkl 1 4 -1
- 36.12°, I = 12, hkl 0 0 2
- 18.78°, I = 12, hkl 1 0 -1
- 17.82°, I = 12, hkl 0 0 1
- 18.57°, I = 11, hkl 1 0 0
- 38.10°, I = 11, hkl 2 0 -2
- 37.64°, I = 10, hkl 2 0 0

Structure:
a b c (Å): 5.4077 11.4660 5.6315
angles (deg): 90.00 117.90 90.00
Fractional coordinates of all 19 atoms:
Mg1 0.0000 0.0000 0.0000
Fe1 0.0000 0.3244 0.5000
Fe2 0.5000 0.6603 0.0000
Fe3 0.5000 0.9910 0.5000
P1 0.0000 0.8430 0.5000
P2 0.5000 0.1545 0.0000
P3 0.5000 0.4855 0.5000
O1 0.1151 0.9294 0.3510
O2 0.2367 0.4029 0.4039
O3 0.2464 0.7791 0.7166
O4 0.2554 0.2234 0.7877
O5 0.3732 0.0728 0.1400
O6 0.4635 0.5555 0.2575
O7 0.5365 0.5555 0.7425
O8 0.6268 0.0728 0.8600
O9 0.7446 0.2234 0.2123
O10 0.7536 0.7791 0.2834
O11 0.7633 0.4029 0.5961
O12 0.8849 0.9294 0.6490



Diffraction record for MgFe3P4O14. The powder diffraction line list is computed, not measured: it uses a structure optimized by DFT (GGA+U) and Cu Kα.
Neutral-atom scattering factors, no anomalous dispersion.

Main lines, in order of falling intensity (2θ from 10° to 90°):
- 30.51°, I = 100, hkl 1 2 1
- 28.84°, I = 78, hkl 2 1 -2
- 29.99°, I = 58, hkl 1 1 2
- 33.66°, I = 54, hkl 2 1 -3
- 37.13°, I = 34, hkl 0 3 1
- 27.49°, I = 33, hkl 1 0 2
- 17.58°, I = 29, hkl 1 1 -1
- 13.02°, I = 26, hkl 1 0 0
- 36.59°, I = 22, hkl 1 2 -3
- 39.05°, I = 19, hkl 3 1 -1
- 55.77°, I = 19, hkl 2 4 0
- 32.01°, I = 17, hkl 0 1 3

Structure:
a b c (Å): 7.3330 7.5402 9.7367
angles (deg): 90.00 111.94 90.00
Fractional coordinates of all 44 atoms:
Mg1 0.0000 0.0000 0.0000
Mg2 0.0000 0.5000 0.5000
Fe1 0.3154 0.1340 0.4853
Fe2 0.3154 0.3660 0.9853
Fe3 0.5000 0.0000 0.0000
Fe4 0.5000 0.5000 0.5000
Fe5 0.6846 0.6340 0.0147
Fe6 0.6846 0.8660 0.5147
P1 0.0772 0.0827 0.7020
P2 0.0772 0.4173 0.2020
P3 0.3607 0.7022 0.1861
P4 0.3607 0.7978 0.6861
P5 0.6393 0.2022 0.3139
P6 0.6393 0.2978 0.8139
P7 0.9228 0.5827 0.7980
P8 0.9228 0.9173 0.2980
O1 0.1266 0.2282 0.6121
O2 0.1266 0.2718 0.1121
O3 0.1367 0.5415 0.8348
O4 0.1367 0.9585 0.3348
O5 0.1574 0.6044 0.1641
O6 0.1574 0.8956 0.6641
O7 0.1833 0.1088 0.8737
O8 0.1833 0.3912 0.3737
O9 0.2996 0.6200 0.6060
O10 0.2996 0.8800 0.1060
O11 0.4699 0.7078 0.3561
O12 0.4699 0.7922 0.8561
O13 0.4709 0.5859 0.1143
O14 0.4709 0.9141 0.6143
O15 0.5291 0.0859 0.3857
O16 0.5291 0.4141 0.8857
O17 0.5301 0.2078 0.1439
O18 0.5301 0.2922 0.6439
O19 0.7004 0.1200 0.8940
O20 0.7004 0.3800 0.3940
O21 0.8167 0.6088 0.6263
O22 0.8167 0.8912 0.1263
O23 0.8426 0.1044 0.3359
O24 0.8426 0.3956 0.8359
O25 0.8633 0.0415 0.6652
O26 0.8633 0.4585 0.1652
O27 0.8734 0.7282 0.8879
O28 0.8734 0.7718 0.3879



Diffraction record for MgFe3P3O12. The powder diffraction line list is computed, not measured: it uses a structure optimized by DFT (GGA+U) and Cu Kα.
Neutral-atom scattering factors, no anomalous dispersion.

Main lines, in order of falling intensity (2θ from 10° to 90°):
- 24.11°, I = 100, hkl 1 1 2
- 25.82°, I = 76, hkl 1 0 -2
- 27.01°, I = 45, hkl 1 1 -2
- 19.28°, I = 35, hkl 1 0 0
- 24.34°, I = 31, hkl 1 0 2
- 36.68°, I = 29, hkl 0 1 4
- 20.43°, I = 24, hkl 1 0 1
- 39.13°, I = 22, hkl 0 2 0
- 31.83°, I = 15, hkl 0 1 -3
- 45.26°, I = 12, hkl 1 2 4
- 19.93°, I = 10, hkl 1 1 0
- 50.34°, I = 10, hkl 2 1 -4

Structure:
a b c (Å): 5.2258 5.2316 11.2209
angles (deg): 84.45 84.30 61.91
Fractional coordinates of all 19 atoms:
Mg1 0.0000 0.0000 0.0000
Fe1 0.0533 0.4929 0.7942
Fe2 0.3713 0.6200 0.5031
Fe3 0.5035 0.9441 0.2104
P1 0.4934 0.5022 0.0027
P2 0.4967 0.0237 0.6729
P3 0.9685 0.4946 0.3337
O1 0.0610 0.6145 0.4331
O2 0.1749 0.1727 0.3174
O3 0.2049 0.5853 0.9427
O4 0.3076 0.0594 0.7919
O5 0.3787 0.9289 0.5736
O6 0.4086 0.7913 0.0626
O7 0.4573 0.3383 0.6354
O8 0.5974 0.2294 0.0911
O9 0.6553 0.5301 0.3718
O10 0.7656 0.4013 0.9132
O11 0.8196 0.8207 0.6885
O12 0.9330 0.6827 0.2150



Diffraction record for MgFe3PO7. The powder diffraction line list is computed, not measured: it uses a structure optimized by DFT (GGA+U) and Cu Kα.
Neutral-atom scattering factors, no anomalous dispersion.

Main lines, in order of falling intensity (2θ from 10° to 90°):
- 26.62°, I = 100, hkl 1 1 -1
- 28.55°, I = 98, hkl -1 1 1
- 17.66°, I = 84, hkl 0 1 0
- 27.93°, I = 71, hkl 1 0 1
- 26.90°, I = 70, hkl 1 -1 1
- 35.59°, I = 46, hkl 2 -1 0
- 53.28°, I = 44, hkl 2 -1 2
- 28.10°, I = 36, hkl 1 1 0
- 35.78°, I = 33, hkl 0 2 0
- 40.16°, I = 33, hkl 1 -1 2
- 34.81°, I = 27, hkl 0 0 2
- 28.79°, I = 27, hkl 0 1 1

Structure:
a b c (Å): 5.3224 5.4295 5.6076
angles (deg): 107.20 101.77 100.21
Fractional coordinates of all 12 atoms:
Mg1 0.0000 0.0000 0.0000
Fe1 0.0838 0.9904 0.5412
Fe2 0.4316 0.5948 0.5449
Fe3 0.4986 0.9516 0.1774
P1 0.9063 0.4625 0.0114
O1 0.0536 0.3128 0.8277
O2 0.1317 0.6733 0.2469
O3 0.2566 0.8647 0.8024
O4 0.2618 0.1922 0.3634
O5 0.7058 0.8505 0.4608
O6 0.7361 0.6302 0.9007
O7 0.7534 0.2488 0.0951



Diffraction record for MgFe3P3O12. The powder diffraction line list is computed, not measured: it uses a structure optimized by DFT (GGA+U) and Cu Kα.
Neutral-atom scattering factors, no anomalous dispersion.

Main lines, in order of falling intensity (2θ from 10° to 90°):
- 24.16°, I = 100, hkl 1 1 2
- 25.78°, I = 77, hkl 1 0 -2
- 26.97°, I = 45, hkl 1 1 -2
- 19.30°, I = 34, hkl 1 0 0
- 24.35°, I = 32, hkl 1 0 2
- 20.46°, I = 24, hkl 1 0 1
- 39.17°, I = 22, hkl 0 2 0
- 36.67°, I = 20, hkl 0 1 4
- 31.76°, I = 15, hkl 0 1 -3
- 45.33°, I = 12, hkl 1 2 4
- 19.97°, I = 10, hkl 1 1 0
- 50.23°, I = 10, hkl 2 1 -4

Structure:
a b c (Å): 5.2176 5.2203 11.2449
angles (deg): 84.65 84.49 61.97
Fractional coordinates of all 19 atoms:
Mg1 0.0000 0.0000 0.0000
Fe1 0.0546 0.4920 0.7937
Fe2 0.3729 0.6196 0.5023
Fe3 0.5044 0.9444 0.2093
P1 0.4948 0.5025 0.0019
P2 0.4995 0.0239 0.6717
P3 0.9692 0.4937 0.3332
O1 0.0625 0.6132 0.4328
O2 0.1764 0.1715 0.3167
O3 0.2056 0.5850 0.9423
O4 0.3105 0.0589 0.7902
O5 0.3819 0.9289 0.5722
O6 0.4103 0.7924 0.0616
O7 0.4601 0.3386 0.6343
O8 0.5986 0.2303 0.0904
O9 0.6558 0.5295 0.3710
O10 0.7667 0.4009 0.9128
O11 0.8221 0.8196 0.6880
O12 0.9347 0.6816 0.2149